Entry 1:
CaMg14Nb: computed powder X-ray diffraction pattern (Cu Kα), based on a structure optimized by DFT (GGA-PBE).

Structure:
a b c (Å): 6.4782 6.4782 10.1785
angles (deg): 90.00 90.00 120.00
Space group P-6m2 (No. 187)
Symmetry-distinct sites (fractional):
Ca 0.0000 0.0000 0.0000
Mg 0.9997 0.4999 0.5000
Mg 0.0065 0.5032 0.0000
Mg 0.1648 0.3295 0.2629
Mg 0.6667 0.3333 0.2464
Nb 0.0000 0.0000 0.5000

The 8 most intense peaks (10 to 80 degrees two-theta), low angle first:
2θ (°), I (rel.), h k l
15.80, 18, 1 0 0
31.90, 27, 2 0 0
35.27, 24, 0 0 4
36.58, 100, 2 0 2
48.29, 16, 2 0 4
56.85, 17, 2 2 0
64.16, 17, 2 0 6
68.70, 18, 2 2 4



Entry 2:
CaMg14Nb: computed powder X-ray diffraction pattern (Cu Kα), based on a structure optimized by DFT (GGA-PBE).

Structure:
a b c (Å): 10.227 6.480 11.165
angles (deg): 90.00 90.00 90.00
Space group Amm2 (No. 38)
Symmetry-distinct sites (fractional):
Ca 0.000 0.000 0.000
Mg 0.000 0.249 0.252
Mg 0.243 0.000 0.663
Mg 0.251 0.240 0.418
Mg 0.256 0.000 0.170
Mg 0.500 0.000 0.000
Mg 0.500 0.000 0.501
Mg 0.500 0.249 0.750
Nb 0.000 0.000 0.496

The 8 most intense peaks (10 to 80 degrees two-theta), low angle first:
2θ (°), I (rel.), h k l
18.08, 21, 1 0 2
31.94, 25, 0 2 2
35.10, 37, 4 0 0
36.57, 100, 2 2 2
36.68, 48, 2 0 4
48.21, 24, 4 0 4
63.95, 27, 6 2 2
68.80, 18, 4 2 6



Entry 3:
CaMg6NbO8: computed powder X-ray diffraction pattern (Cu Kα), based on a structure optimized by DFT (GGA-PBE).

Structure:
a b c (Å): 4.411 4.411 8.866
angles (deg): 90.00 90.00 90.00
Space group P4/mmm (No. 123)
Symmetry-distinct sites (fractional):
Ca 0.000 0.000 0.000
Mg 0.000 0.500 0.250
Mg 0.500 0.500 0.000
Mg 0.500 0.500 0.500
Nb 0.000 0.000 0.500
O 0.000 0.000 0.252
O 0.000 0.500 0.000
O 0.000 0.500 0.500
O 0.500 0.500 0.251

The 8 most intense peaks (10 to 80 degrees two-theta), low angle first:
2θ (°), I (rel.), h k l
20.13, 28, 1 0 0
28.57, 35, 1 1 0
35.18, 44, 1 1 2
40.70, 51, 0 0 4
40.92, 100, 2 0 0
59.09, 59, 2 0 4
59.25, 29, 2 2 0
74.37, 27, 2 2 4



Entry 4:
CaMg6NbO8: computed powder X-ray diffraction pattern (Cu Kα), based on a structure optimized by DFT (GGA-PBE).

Structure:
a b c (Å): 4.383 4.383 8.864
angles (deg): 90.00 90.00 90.00
Space group P4/mmm (No. 123)
Symmetry-distinct sites (fractional):
Ca 0.000 0.000 0.000
Mg 0.000 0.000 0.500
Mg 0.000 0.500 0.262
Mg 0.500 0.500 0.500
Nb 0.500 0.500 0.000
O 0.000 0.000 0.266
O 0.000 0.500 0.000
O 0.000 0.500 0.500
O 0.500 0.500 0.262

The 8 most intense peaks (10 to 80 degrees two-theta), low angle first:
2θ (°), I (rel.), h k l
22.63, 16, 1 0 1
30.56, 20, 1 1 1
35.34, 45, 1 1 2
40.72, 50, 0 0 4
41.19, 100, 2 0 0
59.31, 57, 2 0 4
59.67, 29, 2 2 0
74.75, 26, 2 2 4